Computed powder diffraction line list of Na4Ca2SiP4 for λ = 1.5418 Å (Cu Kα), from a cell relaxed with PBE.
Lines closer than 0.1° are merged.

Structural model:
Lattice parameters (Å, degrees): 9.2095 15.8213 6.9856 90.00 92.05 90.00
Space group Cc (No. 9)
One atom of each set of equivalent atoms:
Na 0.0000 0.0714 0.0000 (multiplicity 4)
Na 0.2035 0.1448 0.4829 (multiplicity 4)
Na 0.4177 0.2649 0.7985 (multiplicity 4)
Na 0.4208 0.0759 0.9692 (multiplicity 4)
Ca 0.9996 0.2621 0.7994 (multiplicity 4)
Ca 0.2141 0.4744 0.8015 (multiplicity 4)
Si 0.2053 0.3334 0.1872 (multiplicity 4)
P 0.0072 0.4048 0.0638 (multiplicity 4)
P 0.2071 0.3378 0.5158 (multiplicity 4)
P 0.2130 0.1977 0.0839 (multiplicity 4)
P 0.4126 0.4027 0.0978 (multiplicity 4)

Top 10 peaks for 15° ≤ 2θ ≤ 90°, in order of falling intensity:
hkl 2 6 0, 2θ 39.4, rel. 100; hkl 2 2 -2, 2θ 33.6, rel. 65; hkl 0 4 2, 2θ 34.3, rel. 63; hkl 2 2 2, 2θ 34.7, rel. 61; hkl 1 5 1, 2θ 32.7, rel. 58; hkl 4 0 0, 2θ 39.2, rel. 45; hkl 3 3 1, 2θ 36.6, rel. 29; hkl 3 1 -1, 2θ 31.9, rel. 26; hkl 1 5 -1, 2θ 32.4, rel. 24; hkl 3 3 -1, 2θ 35.9, rel. 24